Zr3AgHg3F20: simulated powder diffraction line list (Cu Kα (λ = 1.5418 Å)), based on a DFT-relaxed cell (GGA-PBE, the Materials Project).

Structural model:
Unit cell a=10.8765 b=10.8765 c=8.6806 alpha=90.00 beta=90.00 gamma=120.00
Space group P6_3/m (No. 176)
One atom of each set of equivalent atoms:
Zr (0.1394, 0.4173, 0.2500) [6 per cell]
Ag (0.0000, 0.0000, 0.2500) [2 per cell]
Hg (0.1606, 0.4313, 0.7500) [6 per cell]
F (0.0000, 0.0000, 0.0000) [2 per cell]
F (0.0314, 0.7989, 0.7500) [6 per cell]
F (0.0556, 0.5867, 0.7500) [6 per cell]
F (0.0584, 0.7774, 0.2500) [6 per cell]
F (0.1452, 0.4252, 0.0171) [12 per cell]
F (0.1846, 0.6340, 0.2500) [6 per cell]
F (0.3333, 0.6667, 0.7500) [2 per cell]

Top 10 peaks for 2θ = 10–90°, low angle first:
index, 2theta, Rel. int.
1 0 1, 13.87, 146
0 0 2, 20.46, 676
1 2 0, 25.01, 1000
1 2 2, 32.53, 533
0 0 4, 41.62, 160
4 1 0, 44.06, 329
4 1 2, 49.04, 301
1 2 4, 49.17, 313
2 4 0, 51.33, 152
4 1 4, 62.21, 218